This entry pairs a crystal structure of CuAgI4 with its computed powder diffraction line list. Radiation: copper Kα. Structure: a GGA-PBE-relaxed structure.

Crystal structure
```
CuAgI4
1.0
7.421 0.000 0.000
0.000 7.421 0.000
0.000 0.000 8.789
Cu Ag I
2 2 8
Direct
0.000 0.000 0.000
0.000 0.000 0.500
0.000 0.500 0.250
0.500 0.000 0.750
0.187 0.292 0.473
0.187 0.708 0.027
0.292 0.187 0.973
0.292 0.813 0.527
0.708 0.187 0.527
0.708 0.813 0.973
0.813 0.292 0.027
0.813 0.708 0.473
```

Principal peaks in the range 15 to 90 degrees two-theta, low angle first:
2θ/deg	Rel. int.	index
15.6	47.3	1 0 1
20.2	62.4	0 0 2
24.0	19.7	2 0 0
26.5	27.6	1 1 2
28.8	100.0	2 1 1
31.6	74.9	2 0 2
34.2	41.8	2 2 0
41.1	57.1	0 0 4
43.7	34.8	3 1 2
51.8	43.4	4 1 1
54.5	21.5	2 2 4
60.4	21.1	4 1 3